Starting from a crystal structure in OQMD, relaxed with GGA-PBE, the X-ray diffraction stick pattern of Ba2Sn4PdPt was calculated for copper Kα.
Neutral-atom scattering factors, no anomalous dispersion.

Crystal structure
abc: 7.8062 4.5050 12.6283
angles: 90.00 90.00 90.00
Space group Amm2 (No. 38)
Symmetry-distinct sites (fractional):
Ba  0.0000  0.0000  0.0000 x2
Ba  0.5000  0.0000  0.1163 x2
Sn  0.1977  0.0000  0.7204 x4
Sn  0.3025  0.0000  0.3979 x4
Pd  0.5000  0.0000  0.8432 x2
Pt  0.0000  0.0000  0.2724 x2

Main lines, by angle (10° ≤ 2θ ≤ 90°):
two_theta, d_spacing, Rel. int., index
14.0, 6.314, 50, 0 0 2
30.5, 2.927, 74, 1 0 4
31.1, 2.873, 100, 2 1 1
31.3, 2.862, 87, 1 1 3
40.0, 2.253, 51, 0 2 0
40.7, 2.218, 53, 3 1 1